(1)
This entry pairs a crystal structure of TbNd2P2N6 with its simulated X-ray powder pattern. Radiation: Cu Kα X-rays. Structure: a crystal structure in Alexandria, relaxed with PBE.
Peak positions follow from Bragg's law for the DFT cell and can differ from measured ones.

Top 6 peaks for 2θ from 15° to 90°, in order of falling intensity:
2θ 23.11, rel. 100, (0 1 1)
2θ 31.10, rel. 78, (1 1 0)
2θ 34.65, rel. 68, (1 0 2)
2θ 39.10, rel. 33, (2 0 1)
2θ 57.64, rel. 29, (2 1 2)
2θ 50.78, rel. 28, (3 -2 1)

Unit cell a=5.7516 b=5.7516 c=6.0606 alpha=90.00 beta=90.00 gamma=120.00
Space group P-3 (No. 147)
Unique sites:
Tb 0.0000 0.0000 0.0000
Nd 0.3333 0.6667 0.3482
P 0.3333 0.6667 0.8212
N 0.0845 0.3724 0.7623

---

(2)
This entry pairs a crystal structure of NdTc2PN2 with its simulated X-ray powder pattern. Radiation: Cu Kα X-rays. Structure: a crystal structure in Alexandria, relaxed with PBE.
Peak positions follow from Bragg's law for the DFT cell and can differ from measured ones.

Top 6 peaks for 2θ from 15° to 90°, in order of falling intensity:
2θ 28.82, rel. 100, (0 0 2)
2θ 37.44, rel. 93, (1 2 -1)
2θ 29.25, rel. 79, (2 0 -1)
2θ 21.73, rel. 75, (0 1 1)
2θ 37.07, rel. 65, (2 0 1)
2θ 40.83, rel. 51, (1 2 1)

Unit cell a=6.227 b=5.447 c=6.472 alpha=90.00 beta=106.83 gamma=90.00
Space group P2_1/m (No. 11)
Unique sites:
Nd 0.157 0.250 0.258
Tc 0.359 0.503 0.790
P 0.296 0.750 0.070
N 0.162 0.250 0.640
N 0.452 0.750 0.626

---

(3)
This entry pairs a crystal structure of NdVP2N6 with its simulated X-ray powder pattern. Radiation: Cu Kα X-rays. Structure: a crystal structure in Alexandria, relaxed with PBE.
Peak positions follow from Bragg's law for the DFT cell and can differ from measured ones.

Top 6 peaks for 2θ from 15° to 90°, in order of falling intensity:
2θ 26.81, rel. 100, (2 2 -1)
2θ 30.26, rel. 57, (3 1 0)
2θ 19.14, rel. 53, (2 0 0)
2θ 31.18, rel. 45, (1 3 -1)
2θ 33.02, rel. 35, (1 1 -2)
2θ 34.37, rel. 33, (0 0 2)

Unit cell a=10.090 b=10.031 c=5.679 alpha=90.00 beta=113.23 gamma=90.00
Space group C2/c (No. 15)
Unique sites:
Nd 0.000 0.121 0.250
V 0.000 0.229 0.750
P 0.201 0.428 0.182
N 0.097 0.299 0.062
N 0.123 0.110 0.708
N 0.183 0.466 0.451

---

(4)
This entry pairs a crystal structure of NdZn2PN4 with its simulated X-ray powder pattern. Radiation: Cu Kα X-rays. Structure: a crystal structure in Alexandria, relaxed with PBE.
Peak positions follow from Bragg's law for the DFT cell and can differ from measured ones.

Top 6 peaks for 2θ from 15° to 90°, in order of falling intensity:
2θ 35.37, rel. 100, (1 1 2)
2θ 34.27, rel. 42, (2 0 0)
2θ 62.09, rel. 37, (3 1 2)
2θ 21.23, rel. 32, (1 0 1)
2θ 49.25, rel. 22, (2 2 0)
2θ 40.67, rel. 21, (2 1 1)

Unit cell a=5.233 b=5.233 c=6.973 alpha=90.00 beta=90.00 gamma=90.00
Space group I-42m (No. 121)
Unique sites:
Nd 0.000 0.000 0.000
Zn 0.000 0.500 0.250
P 0.000 0.000 0.500
N 0.187 0.187 0.634

---

(5)
This entry pairs a crystal structure of Nd2PaN4 with its simulated X-ray powder pattern. Radiation: Cu Kα X-rays. Structure: a crystal structure in Alexandria, relaxed with PBE.
Peak positions follow from Bragg's law for the DFT cell and can differ from measured ones.

Top 6 peaks for 2θ from 15° to 90°, in order of falling intensity:
2θ 30.24, rel. 100, (1 3 0)
2θ 29.89, rel. 72, (1 1 1)
2θ 42.61, rel. 32, (2 2 1)
2θ 29.35, rel. 24, (2 0 0)
2θ 53.90, rel. 21, (1 5 1)
2θ 59.57, rel. 20, (1 3 2)

Unit cell a=6.085 b=10.133 c=3.648 alpha=90.00 beta=90.00 gamma=90.00
Space group Pbam (No. 55)
Unique sites:
Nd 0.061 0.175 0.000
Pa 0.000 0.500 0.500
N 0.148 0.695 0.500
N 0.231 0.459 0.000

---

(6)
This entry pairs a crystal structure of Nd3PaN4 with its simulated X-ray powder pattern. Radiation: Cu Kα X-rays. Structure: a crystal structure in Alexandria, relaxed with PBE.
Peak positions follow from Bragg's law for the DFT cell and can differ from measured ones.

Top 6 peaks for 2θ from 15° to 90°, in order of falling intensity:
2θ 30.36, rel. 100, (1 1 2)
2θ 35.20, rel. 71, (2 0 0)
2θ 50.63, rel. 49, (2 2 0)
2θ 60.18, rel. 46, (1 1 6)
2θ 85.07, rel. 22, (4 2 0)
2θ 82.43, rel. 20, (3 1 6)

Unit cell a=5.098 b=5.098 c=10.208 alpha=90.00 beta=90.00 gamma=90.00
Space group I4/mmm (No. 139)
Unique sites:
Nd 0.000 0.000 0.000
Nd 0.000 0.500 0.250
Pa 0.000 0.000 0.500
N 0.000 0.000 0.278
N 0.000 0.500 0.000